No. 1
For SmBeGe, the GGA-PBE geometry in Alexandria gives the calculated PXRD pattern in this record (Cu Kα (weighted mean of Kα1 and Kα2)).

Principal peaks in the range 2θ = 5–70°, low angle first:
hkl, two_theta, I (rel.)
0 1 0, 21.19, 10
0 0 2, 25.66, 14
1 0 1, 25.88, 38
0 1 2, 33.51, 61
1 1 1, 33.68, 100
0 2 0, 43.15, 20
1 0 3, 45.37, 33
2 0 0, 45.77, 17
1 2 1, 51.00, 12
2 1 2, 57.90, 25
1 2 3, 64.40, 23
2 2 0, 64.72, 12

```
data_SmBeGe
_chemical_formula_sum 'Sm2 Be2 Ge2'
_cell_length_a 3.965
_cell_length_b 4.193
_cell_length_c 6.944
_cell_angle_alpha 90.00
_cell_angle_beta 90.00
_cell_angle_gamma 90.00
_space_group_name_H-M_alt 'P m m m'
_space_group_IT_number 47
loop_
_space_group_symop_operation_xyz
'x,y,z'
'-x,-y,-z'
'-x,-y,z'
'x,y,-z'
'x,-y,-z'
'-x,y,z'
'-x,y,-z'
'x,-y,z'
loop_
_atom_site_label
_atom_site_type_symbol
_atom_site_fract_x
_atom_site_fract_y
_atom_site_fract_z
Sm1 Sm 0.000 0.000 0.000
Sm2 Sm 0.500 0.000 0.500
Be1 Be 0.000 0.500 0.343
Ge1 Ge 0.500 0.500 0.182
```

No. 2
For Sr2BeGe3, the GGA-PBE geometry in Alexandria gives the calculated PXRD pattern in this record (Cu Kα (weighted mean of Kα1 and Kα2)).

Principal peaks in the range 2θ = 5–70°, low angle first:
hkl, two_theta, I (rel.)
1 1 3, 23.44, 6
2 0 2, 24.76, 4
0 2 4, 31.34, 100
3 1 1, 34.34, 7
1 3 3, 35.94, 4
0 4 0, 38.35, 20
2 0 6, 43.60, 37
4 2 4, 54.65, 13
0 2 8, 54.71, 7
2 4 6, 59.44, 29
3 5 1, 59.87, 3
0 6 4, 65.01, 11

```
data_Sr2BeGe3
_chemical_formula_sum 'Sr16 Be8 Ge24'
_cell_length_a 8.310
_cell_length_b 9.388
_cell_length_c 14.372
_cell_angle_alpha 90.00
_cell_angle_beta 90.00
_cell_angle_gamma 90.00
_space_group_name_H-M_alt 'F m m m'
_space_group_IT_number 69
_space_group_name_Hall '-F 2 2'
loop_
_atom_site_label
_atom_site_type_symbol
_atom_site_fract_x
_atom_site_fract_y
_atom_site_fract_z
Sr1 Sr 0.000 0.237 0.000
Sr2 Sr 0.250 0.250 0.250
Be1 Be 0.000 0.000 0.333
Ge1 Ge 0.000 0.000 0.175
Ge2 Ge 0.232 0.000 0.412
```

No. 3
For TaTiBeGe, the GGA-PBE geometry in Alexandria gives the calculated PXRD pattern in this record (Cu Kα (weighted mean of Kα1 and Kα2)).

Principal peaks in the range 2θ = 5–70°, low angle first:
hkl, two_theta, I (rel.)
0 0 2, 18.69, 17
1 0 0, 25.29, 57
0 1 1, 27.36, 50
1 0 2, 31.64, 37
1 1 1, 37.60, 100
0 0 4, 37.91, 28
0 1 3, 38.49, 67
1 0 4, 46.12, 37
1 1 3, 46.62, 46
2 0 0, 51.94, 19
0 2 0, 52.74, 18
2 1 3, 66.47, 27

```
data_TaTiBeGe
_chemical_formula_sum 'Ta2 Ti2 Be2 Ge2'
_cell_length_a 3.521
_cell_length_b 3.471
_cell_length_c 9.494
_cell_angle_alpha 90.00
_cell_angle_beta 90.00
_cell_angle_gamma 90.00
_space_group_name_H-M_alt 'A m m 2'
_space_group_IT_number 38
loop_
_space_group_symop_operation_xyz
'x,y,z'
'-x,-y,z'
'-x,y,z'
'x,-y,z'
'x,y+1/2,z+1/2'
'-x,-y+1/2,z+1/2'
'-x,y+1/2,z+1/2'
'x,-y+1/2,z+1/2'
loop_
_atom_site_label
_atom_site_type_symbol
_atom_site_fract_x
_atom_site_fract_y
_atom_site_fract_z
Ta1 Ta 0.000 0.000 0.000
Ti1 Ti 0.500 0.000 0.691
Be1 Be 0.500 0.000 0.428
Ge1 Ge 0.000 0.000 0.280
```

No. 4
For Tb2Be2Ge3, the GGA-PBE geometry in Alexandria gives the calculated PXRD pattern in this record (Cu Kα (weighted mean of Kα1 and Kα2)).

Principal peaks in the range 2θ = 5–70°, low angle first:
hkl, two_theta, I (rel.)
0 2 0, 9.45, 25
0 4 1, 22.99, 27
0 0 2, 25.92, 37
1 3 1, 29.89, 25
1 5 0, 33.09, 29
1 1 2, 35.04, 90
1 5 1, 35.64, 100
0 8 0, 38.48, 27
0 4 3, 43.99, 31
2 0 0, 46.32, 28
1 9 2, 56.82, 21
2 4 3, 65.79, 20

```
data_Tb2Be2Ge3
_chemical_formula_sum 'Tb8 Be8 Ge12'
_cell_length_a 3.920
_cell_length_b 18.715
_cell_length_c 6.876
_cell_angle_alpha 90.00
_cell_angle_beta 90.00
_cell_angle_gamma 90.00
_space_group_name_H-M_alt 'C m c m'
_space_group_IT_number 63
_space_group_name_Hall '-C 2c 2'
loop_
_atom_site_label
_atom_site_type_symbol
_atom_site_fract_x
_atom_site_fract_y
_atom_site_fract_z
Tb1 Tb 0.000 0.046 0.250
Tb2 Tb 0.000 0.172 0.750
Be1 Be 0.000 0.336 0.597
Ge1 Ge 0.000 0.207 0.250
Ge2 Ge 0.000 0.436 0.071
```

No. 5
For Be3GeTe, the GGA-PBE geometry in Alexandria gives the calculated PXRD pattern in this record (Cu Kα (weighted mean of Kα1 and Kα2)).

Principal peaks in the range 2θ = 5–70°, low angle first:
hkl, two_theta, I (rel.)
1 0 0, 20.10, 5
1 1 0, 28.58, 100
1 1 1, 35.19, 5
2 0 0, 40.86, 24
2 1 0, 45.95, 3
2 1 1, 50.62, 41
2 2 0, 59.17, 16
3 0 0, 63.15, 1
3 1 0, 67.00, 17

```
data_Be3GeTe
_chemical_formula_sum 'Be3 Ge1 Te1'
_cell_length_a 4.417
_cell_length_b 4.417
_cell_length_c 4.417
_cell_angle_alpha 90.00
_cell_angle_beta 90.00
_cell_angle_gamma 90.00
_space_group_name_H-M_alt 'P m -3 m'
_space_group_IT_number 221
_space_group_name_Hall '-P 4 2 3'
loop_
_atom_site_label
_atom_site_type_symbol
_atom_site_fract_x
_atom_site_fract_y
_atom_site_fract_z
Be1 Be 0.000 0.000 0.500
Ge1 Ge 0.000 0.000 0.000
Te1 Te 0.500 0.500 0.500
```

No. 6
For BeGeTe, the GGA-PBE geometry in Alexandria gives the calculated PXRD pattern in this record (Cu Kα (weighted mean of Kα1 and Kα2)).

Principal peaks in the range 2θ = 5–70°, low angle first:
hkl, two_theta, I (rel.)
0 1 -1, 20.67, 31
0 0 2, 22.74, 26
0 1 1, 24.58, 52
0 1 -2, 27.07, 100
1 0 1, 27.78, 76
1 0 -2, 29.19, 37
-1 1 1, 30.70, 50
1 1 0, 32.19, 37
-1 1 2, 36.49, 27
1 -2 1, 44.83, 36
2 0 -1, 46.36, 30
1 0 -4, 47.84, 31

```
data_BeGeTe
_chemical_formula_sum 'Be2 Ge2 Te2'
_cell_length_a 3.934
_cell_length_b 4.627
_cell_length_c 8.105
_cell_angle_alpha 100.25
_cell_angle_beta 100.32
_cell_angle_gamma 94.38
_space_group_name_H-M_alt 'P 1'
_space_group_IT_number 1
loop_
_space_group_symop_operation_xyz
'x,y,z'
loop_
_atom_site_label
_atom_site_type_symbol
_atom_site_fract_x
_atom_site_fract_y
_atom_site_fract_z
Be1 Be 0.000 0.000 0.000
Be2 Be 0.018 0.658 0.776
Ge1 Ge 0.539 0.634 0.947
Ge2 Ge 0.850 0.154 0.736
Te1 Te 0.246 0.856 0.540
Te2 Te 0.568 0.239 0.161
```

No. 7
For Be3GeW, the GGA-PBE geometry in Alexandria gives the calculated PXRD pattern in this record (Cu Kα (weighted mean of Kα1 and Kα2)).

Principal peaks in the range 2θ = 5–70°, low angle first:
hkl, two_theta, I (rel.)
1 0 0, 21.82, 18
1 1 0, 31.05, 100
1 1 1, 38.28, 9
2 0 0, 44.49, 22
2 1 0, 50.08, 9
2 1 1, 55.24, 40
2 2 0, 64.74, 15
3 0 0, 69.20, 4

```
data_Be3GeW
_chemical_formula_sum 'Be3 Ge1 W1'
_cell_length_a 4.073
_cell_length_b 4.073
_cell_length_c 4.073
_cell_angle_alpha 90.00
_cell_angle_beta 90.00
_cell_angle_gamma 90.00
_space_group_name_H-M_alt 'P m -3 m'
_space_group_IT_number 221
_space_group_name_Hall '-P 4 2 3'
loop_
_atom_site_label
_atom_site_type_symbol
_atom_site_fract_x
_atom_site_fract_y
_atom_site_fract_z
Be1 Be 0.000 0.000 0.500
Ge1 Ge 0.000 0.000 0.000
W1 W 0.500 0.500 0.500
```